1.
Theoretical XRD peak list of PuTc5P3 for a wavelength of 1.5418 Å, from a structure optimized by DFT (GGA-PBE).

Most intense lines, 2θ from 15° to 90°, by angle:
Position (°2θ)  intensity  hkl
23.7  777  0 2 3
35.7  582  1 3 0
36.1  1000  1 1 3
36.3  399  1 3 1
38.2  733  1 3 2
40.3  595  1 1 4
41.2  416  0 6 1
42.0  567  0 2 6

Unit cell a=3.0490 b=13.3305 c=13.6334 alpha=90.00 beta=90.00 gamma=90.00
Space group Cmcm (No. 63)
Symmetry-distinct sites (fractional):
Pu: 0.0000 0.1481 0.2500 [4 per cell]
Tc: 0.0000 0.0000 0.0000 [4 per cell]
Tc: 0.0000 0.1974 0.5784 [8 per cell]
Tc: 0.0000 0.4553 0.1602 [8 per cell]
P: 0.0000 0.1592 0.7500 [4 per cell]
P: 0.0000 0.3706 0.5510 [8 per cell]



2.
Theoretical XRD peak list of Cu2Ni2Ir for a wavelength of 1.5418 Å, from a structure optimized by DFT (GGA-PBE).

Most intense lines, 2θ from 15° to 90°, by angle:
Position (°2θ)  intensity  hkl
15.1  281  0 0 2
23.1  242  0 1 1
31.7  149  0 1 3
42.5  385  1 0 3
44.6  1000  0 2 0
44.9  797  1 1 2
63.2  231  1 2 3
82.2  177  0 0 10

Unit cell a=2.5345 b=4.0729 c=11.7246 alpha=90.00 beta=90.00 gamma=90.00
Space group Immm (No. 71)
Symmetry-distinct sites (fractional):
Cu: 0.0000 0.0000 0.2110 [4 per cell]
Ni: 0.0000 0.5000 0.0992 [4 per cell]
Ir: 0.0000 0.5000 0.5000 [2 per cell]



3.
Theoretical XRD peak list of SmHoGeSe for a wavelength of 1.5418 Å, from a structure optimized by DFT (GGA-PBE).

Most intense lines, 2θ from 15° to 90°, by angle:
Position (°2θ)  intensity  hkl
26.2  161  0 1 2
30.3  1000  1 0 4
43.2  368  0 1 8
43.5  374  1 1 0
53.9  197  0 2 4
71.3  159  1 1 12
71.6  168  2 1 4
79.6  123  1 2 8

Unit cell a=4.1641 b=4.1641 c=20.5464 alpha=90.00 beta=90.00 gamma=120.00
Space group R3m (No. 160, hexagonal axes)
Symmetry-distinct sites (fractional):
Sm: 0.0000 0.0000 0.0000 [3 per cell]
Ho: 0.0000 0.0000 0.5078 [3 per cell]
Ge: 0.0000 0.0000 0.2519 [3 per cell]
Se: 0.0000 0.0000 0.7567 [3 per cell]



4.
Theoretical XRD peak list of Hf3Zn11 for a wavelength of 1.5418 Å, from a structure optimized by DFT (GGA-PBE).

Most intense lines, 2θ from 15° to 90°, by angle:
Position (°2θ)  intensity  hkl
36.2  285  0 2 4
36.4  350  1 3 0
37.1  1000  1 2 3
38.8  414  1 1 4
39.6  230  1 3 2
43.7  365  2 0 0
45.7  196  1 4 1
73.3  223  1 4 7

Unit cell a=4.1383 b=9.2149 c=11.7756 alpha=90.00 beta=90.00 gamma=90.00
Space group Immm (No. 71)
Symmetry-distinct sites (fractional):
Hf: 0.0000 0.0000 0.0000 [2 per cell]
Hf: 0.0000 0.0000 0.2880 [4 per cell]
Zn: 0.0000 0.1706 0.5000 [4 per cell]
Zn: 0.0000 0.2820 0.1438 [8 per cell]
Zn: 0.0000 0.3680 0.3523 [8 per cell]
Zn: 0.0000 0.5000 0.0000 [2 per cell]



5.
Theoretical XRD peak list of Cd5Ru3 for a wavelength of 1.5418 Å, from a structure optimized by DFT (GGA-PBE).

Most intense lines, 2θ from 15° to 90°, by angle:
Position (°2θ)  intensity  hkl
35.0  365  1 1 -3
35.2  176  2 0 -1
37.6  596  0 6 1
38.9  1000  1 3 2
39.1  455  2 2 -2
42.7  336  2 4 -1
49.2  149  1 3 3
65.6  152  3 5 0

Unit cell a=5.1061 b=15.1438 c=7.9858 alpha=90.00 beta=108.53 gamma=90.00
Space group C2/m (No. 12)
Symmetry-distinct sites (fractional):
Cd: 0.0982 0.1750 0.1962 [8 per cell]
Cd: 0.1752 0.4017 0.3504 [8 per cell]
Cd: 0.2492 0.0000 0.9987 [4 per cell]
Ru: 0.0000 0.2499 0.5000 [4 per cell]
Ru: 0.0000 0.3299 0.0000 [4 per cell]
Ru: 0.1697 0.0000 0.3398 [4 per cell]



6.
Theoretical XRD peak list of Y3Cu2Pt6 for a wavelength of 1.5418 Å, from a structure optimized by DFT (GGA-PBE).

Most intense lines, 2θ from 15° to 90°, by angle:
Position (°2θ)  intensity  hkl
35.4  282  3 2 1
40.4  1000  3 3 0
42.6  120  4 2 0
49.0  108  5 1 0
58.4  131  6 0 0
60.2  124  5 3 2
73.4  322  6 3 3
87.2  123  6 6 0

Unit cell a=9.4820 b=9.4820 c=9.4820 alpha=90.00 beta=90.00 gamma=90.00
Space group Im-3m (No. 229)
Symmetry-distinct sites (fractional):
Y: 0.0000 0.0000 0.3011 [12 per cell]
Cu: 0.2500 0.2500 0.2500 [8 per cell]
Pt: 0.0000 0.3309 0.3309 [24 per cell]



7.
Theoretical XRD peak list of GaB2As for a wavelength of 1.5418 Å, from a structure optimized by DFT (GGA-PBE).

Most intense lines, 2θ from 15° to 90°, by angle:
Position (°2θ)  intensity  hkl
24.5  1000  0 2 0
30.1  393  2 0 0
32.9  302  0 0 2
34.3  255  2 0 -1
38.5  383  1 1 2
39.2  356  2 2 0
41.5  462  0 2 2
42.6  250  2 2 -1

Unit cell a=5.9419 b=7.2578 c=5.4427 alpha=90.00 beta=90.43 gamma=90.00
Space group C2/m (No. 12)
Symmetry-distinct sites (fractional):
Ga: 0.1610 0.0000 0.2264 [4 per cell]
B: 0.1355 0.3024 0.0513 [8 per cell]
As: 0.2366 0.5000 0.3158 [4 per cell]



8.
Theoretical XRD peak list of MnPd4Au2 for a wavelength of 1.5418 Å, from a structure optimized by DFT (GGA-PBE).

Most intense lines, 2θ from 15° to 90°, by angle:
Position (°2θ)  intensity  hkl
38.9  1000  2 -2 1
39.2  328  0 2 1
44.7  225  -2 1 2
44.9  221  0 3 -2
46.3  213  2 0 2
78.5  86  -4 3 1
78.8  83  2 4 -3
80.7  77  4 -2 3

Unit cell a=5.6573 b=6.3722 c=6.9444 alpha=111.79 beta=91.63 gamma=103.17
Space group P1 (No. 1)
Symmetry-distinct sites (fractional):
Mn: 0.0000 0.0000 0.0000 [1 per cell]
Mn: 0.3038 0.1408 0.6898 [1 per cell]
Pd: 0.0815 0.2777 0.4174 [1 per cell]
Pd: 0.2213 0.8530 0.2776 [1 per cell]
Pd: 0.3539 0.4071 0.1210 [1 per cell]
Pd: 0.5830 0.2810 0.4209 [1 per cell]
Pd: 0.6517 0.5631 0.8486 [1 per cell]
Pd: 0.8031 0.1363 0.7104 [1 per cell]
Pd: 0.8637 0.4202 0.1365 [1 per cell]
Pd: 0.9506 0.7219 0.5748 [1 per cell]
Au: 0.1459 0.5614 0.8496 [1 per cell]
Au: 0.4414 0.7041 0.5583 [1 per cell]
Au: 0.5005 0.9974 0.9882 [1 per cell]
Au: 0.7255 0.8502 0.2775 [1 per cell]